# 1
The following is a theoretical XRD peak list of KPb2Br5. It was derived from a cell relaxed with PBE, using Cu Kα X-rays.
Peak positions follow from Bragg's law for the DFT cell and can differ from measured ones.

Cell and atoms:
Cell: 9.3849 8.6340 13.3369 Å, 90.00 90.24 90.00°
Positions (direct):
K: 0.0097 0.0509 0.3273
K: 0.0097 0.4491 0.8273
K: 0.9903 0.5509 0.1727
K: 0.9903 0.9491 0.6727
Pb: 0.2441 0.5654 0.4959
Pb: 0.2441 0.9346 0.9959
Pb: 0.4863 0.0090 0.6753
Pb: 0.4863 0.4910 0.1753
Pb: 0.5137 0.5090 0.8247
Pb: 0.5137 0.9910 0.3247
Pb: 0.7559 0.0654 0.0041
Pb: 0.7559 0.4346 0.5041
Br: 0.0393 0.1792 0.0793
Br: 0.0393 0.3208 0.5793
Br: 0.2631 0.1479 0.8117
Br: 0.2631 0.3521 0.3117
Br: 0.2648 0.6850 0.7165
Br: 0.2648 0.8150 0.2165
Br: 0.2805 0.5423 0.9971
Br: 0.2805 0.9577 0.4971
Br: 0.4601 0.1621 0.1021
Br: 0.4601 0.3379 0.6021
Br: 0.5399 0.6621 0.3979
Br: 0.5399 0.8379 0.8979
Br: 0.7195 0.0423 0.5029
Br: 0.7195 0.4577 0.0029
Br: 0.7352 0.1850 0.7835
Br: 0.7352 0.3150 0.2835
Br: 0.7369 0.6479 0.6883
Br: 0.7369 0.8521 0.1883
Br: 0.9607 0.6792 0.4207
Br: 0.9607 0.8208 0.9207

Largest 10 diffraction maxima, sorted by position, 2θ = 10–90°:
- d = 3.950 Å, I = 94
- d = 3.930 Å, I = 79
- d = 3.506 Å, I = 51
- d = 3.093 Å, I = 69
- d = 2.871 Å, I = 100
- d = 2.865 Å, I = 74
- d = 2.713 Å, I = 58
- d = 2.543 Å, I = 62
- d = 2.415 Å, I = 59
- d = 2.345 Å, I = 80


# 2
The following is a theoretical XRD peak list of K2PdBr6. It was derived from a cell relaxed with PBE, using Cu Kα X-rays.
Peak positions follow from Bragg's law for the DFT cell and can differ from measured ones.

Cell and atoms:
Cell: 7.4844 7.4844 7.4844 Å, 60.00 60.00 60.00°
Positions (direct):
K: 0.2500 0.2500 0.2500
K: 0.7500 0.7500 0.7500
Pd: 0.0000 0.0000 0.0000
Br: 0.2369 0.2369 0.7631
Br: 0.2369 0.7631 0.2369
Br: 0.2369 0.7631 0.7631
Br: 0.7631 0.2369 0.2369
Br: 0.7631 0.2369 0.7631
Br: 0.7631 0.7631 0.2369

Largest 10 diffraction maxima, sorted by position, 2θ = 10–90°:
- d = 6.111 Å, I = 53
- d = 5.292 Å, I = 46
- d = 3.055 Å, I = 93
- d = 2.646 Å, I = 100
- d = 2.367 Å, I = 22
- d = 2.037 Å, I = 16
- d = 1.871 Å, I = 67
- d = 1.596 Å, I = 35
- d = 1.528 Å, I = 22
- d = 1.183 Å, I = 27